# Li4TaAuO6
Calculated XRD peak list, a wavelength of 1.5418 Å. Input: the GGA-PBE geometry in OQMD.
Kinematic intensities with the Lorentz-polarization factor, no thermal factor.

Structure:
Lattice parameters (Å, degrees): 5.238 9.064 5.199 90.00 109.89 90.00
Space group C2 (No. 5)
Asymmetric unit:
Li  0.000  0.000  0.000 (multiplicity 2)
Li  0.000  0.150  0.500 (multiplicity 2)
Li  0.000  0.510  0.500 (multiplicity 2)
Li  0.000  0.836  0.500 (multiplicity 2)
Ta  0.000  0.334  0.000 (multiplicity 2)
Au  0.000  0.668  0.000 (multiplicity 2)
O  0.226  0.177  0.250 (multiplicity 4)
O  0.229  0.343  0.760 (multiplicity 4)
O  0.246  0.486  0.246 (multiplicity 4)

Largest 10 diffraction maxima, low angle first, 2θ from 10° to 90°:
h k l  Position (°2θ)  I (rel.)
0 0 1  18.15  1000
0 2 0  19.59  210
1 1 0  20.52  370
1 1 -1  23.02  286
0 2 1  26.82  204
2 0 -1  34.81  603
2 0 0  36.44  449
2 0 -2  42.31  209
1 3 1  42.48  414
3 3 -1  61.34  195